Starting from a cell relaxed with GGA-PBE, the X-ray powder pattern of AlSiP was calculated for Cu Kα.
Peak positions follow from Bragg's law for the DFT cell and can differ from measured ones.

Atomic structure:
```
AlSiP
1.0
3.8813 0.0000 0.0000
-1.9406 3.3613 0.0000
0.0000 0.0000 9.5742
Al Si P
2 2 2
Direct
0.0000 0.0000 0.0000
0.3333 0.6667 0.6668
0.0000 0.0000 0.2596
0.6667 0.3333 0.3412
0.3333 0.6667 0.9136
0.6667 0.3333 0.5816
```

Top 8 peaks for 2θ = 15–90°, sorted by position:
d [Å]	Rel. int.
3.191	32.5
3.172	100.0
1.950	43.9
1.941	43.8
1.664	13.7
1.658	25.3
1.375	13.9
1.122	14.9